# Ho2BeAlPt6
Calculated X-ray powder pattern, Cu Kα (λ = 1.5418 Å). Input: a structure optimized by DFT (PBE).
Kinematic intensities with the Lorentz-polarization factor, no thermal factor.

Atomic structure:
a b c (Å): 7.3806 7.3806 7.3806
angles (deg): 44.90 44.90 44.90
Element x y z (fractional)
1 Ho 0.2088 0.2088 0.2088
2 Ho 0.7912 0.7912 0.7912
3 Be 0.0000 0.0000 0.0000
4 Al 0.5000 0.5000 0.5000
5 Pt 0.2418 0.2418 0.7318
6 Pt 0.2418 0.7318 0.2418
7 Pt 0.2682 0.7582 0.7582
8 Pt 0.7318 0.2418 0.2418
9 Pt 0.7582 0.2682 0.7582
10 Pt 0.7582 0.7582 0.2682

Top 6 peaks for 10 to 80 degrees two-theta, in order of falling intensity:
37.96°, I = 100; 41.20°, I = 70; 26.92°, I = 44; 72.98°, I = 24; 66.33°, I = 23; 52.60°, I = 23